Starting from a cell relaxed with PBE, the PXRD pattern of Na4CdS3 was computed for Cu Kα.
Intensities are scaled so that the largest is 100.

Peak list (6 most intense, 2θ from 10° to 90°, by angle)
2θ = 15.8°, I = 68.2, (1 1 -1); 2θ = 19.3°, I = 100.0, (2 0 -2); 2θ = 22.4°, I = 55.8, (1 1 -2); 2θ = 28.7°, I = 79.9, (2 2 -1); 2θ = 29.7°, I = 74.6, (3 1 1); 2θ = 31.1°, I = 65.0, (1 1 -3)

Cell and atoms:
```
data_Na4CdS3
_chemical_formula_sum 'Na16 Cd4 S12'
_cell_length_a 13.911
_cell_length_b 7.054
_cell_length_c 9.632
_cell_angle_alpha 90.00
_cell_angle_beta 113.95
_cell_angle_gamma 90.00
_space_group_name_H-M_alt 'C 1 c 1'
_space_group_IT_number 9
loop_
_space_group_symop_operation_xyz
'x,y,z'
'x,-y,z+1/2'
'x+1/2,y+1/2,z'
'x+1/2,-y+1/2,z+1/2'
loop_
_atom_site_label
_atom_site_fract_x
_atom_site_fract_y
_atom_site_fract_z
Na1 0.000 0.156 0.000
Na2 0.079 0.290 0.701
Na3 0.158 0.159 0.409
Na4 0.264 0.333 0.108
Cd1 0.402 0.155 0.785
S1 0.073 0.497 0.948
S2 0.227 0.011 0.705
S3 0.446 0.479 0.723
```

Starting from a cell relaxed with PBE, the PXRD pattern of Ti5FePd2Rh2 was computed for Cu Kα.
Intensities are scaled so that the largest is 100.

Peak list (6 most intense, 2θ from 10° to 90°, by angle)
2θ = 34.3°, I = 34.3, (4 0 0); 2θ = 38.5°, I = 17.6, (4 2 0); 2θ = 41.2°, I = 100.0, (3 1 1); 2θ = 48.3°, I = 24.4, (3 3 1); 2θ = 49.3°, I = 20.0, (4 4 0); 2θ = 76.7°, I = 24.8, (7 3 1)

Cell and atoms:
```
data_Ti5FePd2Rh2
_chemical_formula_sum 'Ti10 Fe2 Pd4 Rh4'
_cell_length_a 10.452
_cell_length_b 10.452
_cell_length_c 2.921
_cell_angle_alpha 90.00
_cell_angle_beta 90.00
_cell_angle_gamma 90.00
_space_group_name_H-M_alt 'P 4/m b m'
_space_group_IT_number 127
_space_group_name_Hall '-P 4 2ab'
loop_
_atom_site_label
_atom_site_fract_x
_atom_site_fract_y
_atom_site_fract_z
Ti1 0.000 0.500 0.000
Ti2 0.120 0.156 0.000
Fe1 0.000 0.000 0.500
Pd1 0.156 0.656 0.500
Rh1 0.143 0.357 0.500
```

Starting from a cell relaxed with PBE, the PXRD pattern of Ce3HoPb5 was computed for Cu Kα.
Intensities are scaled so that the largest is 100.

Peak list (6 most intense, 2θ from 10° to 90°, by angle)
2θ = 31.5°, I = 41.3, (2 1 1); 2θ = 32.2°, I = 84.1, (3 0 0); 2θ = 32.8°, I = 100.0, (1 1 2); 2θ = 46.6°, I = 29.8, (2 2 2); 2θ = 57.8°, I = 22.1, (4 1 2); 2θ = 65.5°, I = 22.5, (3 0 4)

Cell and atoms:
```
data_Ce3HoPb5
_chemical_formula_sum 'Ce6 Ho2 Pb10'
_cell_length_a 9.6164
_cell_length_b 9.6164
_cell_length_c 6.6405
_cell_angle_alpha 90.00
_cell_angle_beta 90.00
_cell_angle_gamma 120.00
_space_group_name_H-M_alt 'P 63/m c m'
_space_group_IT_number 193
_space_group_name_Hall '-P 6c 2'
loop_
_atom_site_label
_atom_site_fract_x
_atom_site_fract_y
_atom_site_fract_z
Ce1 0.0000 0.3833 0.2500
Ho1 0.0000 0.0000 0.0000
Pb1 0.0000 0.2823 0.7500
Pb2 0.3333 0.6667 0.0000
```